Simulated X-ray diffraction stick pattern of Fe3Se4S2 for Cu Kα (weighted mean of Kα1 and Kα2), from the PBE geometry in the Materials Project.
Peak positions follow from Bragg's law for the DFT cell and can differ from measured ones.

Cell and atoms:
a b c (Å): 7.4626 3.5288 10.8308
angles (deg): 90.00 99.19 90.00
Fractional coordinates of all 18 atoms:
Fe (0.0000, 0.0000, 0.0000)
Fe (0.1631, 0.5000, 0.3213)
Fe (0.3322, 0.0000, 0.6668)
Fe (0.4952, 0.5000, 0.9960)
Fe (0.6609, 0.0000, 0.3272)
Fe (0.8283, 0.5000, 0.6555)
Se (0.1459, 0.5000, 0.7128)
Se (0.1517, 0.0000, 0.4654)
Se (0.1795, 0.5000, 0.9479)
Se (0.4775, 0.5000, 0.3758)
Se (0.5117, 0.5000, 0.6121)
Se (0.8129, 0.5000, 0.0467)
Se (0.8187, 0.0000, 0.8001)
Se (0.8443, 0.5000, 0.2772)
S (0.1705, 0.0000, 0.1890)
S (0.4883, 0.0000, 0.1326)
S (0.4996, 0.0000, 0.8597)
S (0.8319, 0.0000, 0.5210)

Most intense lines, 10 to 80 degrees two-theta, sorted by position:
2θ/deg	I/Imax	h k l
24.98	44	0 0 3
31.70	100	1 1 -2
35.30	80	2 1 -1
35.81	64	0 1 3
36.59	58	3 0 0
37.58	56	1 0 4
48.91	53	3 1 -3
49.70	76	1 1 -5
51.82	47	0 2 0
55.22	56	3 1 3